Structure and theoretical X-ray powder pattern of Na2MgPdF6 (a DFT-relaxed cell (GGA-PBE, Alexandria); Cu Kα, 1.54184 Å).
Peak positions follow from Bragg's law for the DFT cell and can differ from measured ones.

Top 6 peaks for 2θ from 5° to 70°, in order of rising 2θ:
18.15 deg, intensity 60, hkl 0 0 2
18.60 deg, intensity 45, hkl 0 1 1
23.94 deg, intensity 66, hkl 1 1 -1
29.84 deg, intensity 58, hkl 1 1 1
30.57 deg, intensity 100, hkl 1 1 -3
33.18 deg, intensity 42, hkl 1 0 -4

Structural model:
Cell: 5.071 5.465 10.866 Å, 90.00 115.89 90.00°
Space group P2_1/c (No. 14)
One atom of each set of equivalent atoms:
Na1 0.227 0.064 0.248 [4 per cell]
Mg1 0.000 0.000 0.500 [2 per cell]
Pd1 0.500 0.000 0.000 [2 per cell]
F1 0.133 0.207 0.916 [4 per cell]
F2 0.234 0.712 0.928 [4 per cell]
F3 0.314 0.057 0.679 [4 per cell]